Record 1
This entry pairs a crystal structure of Cs2MnHgSe4 with its simulated powder diffraction line list. Radiation: Cu Kα, 1.54184 Å. Structure: a crystal structure in Alexandria, relaxed with GGA-PBE.
Peak positions follow from Bragg's law for the DFT cell and can differ from measured ones.

```
Cs2MnHgSe4
1.0
0.0000 7.1762 12.4549
3.1719 0.0000 12.4549
3.1719 7.1762 0.0000
Cs Mn Hg Se
4 2 2 8
Direct
0.0572 0.0572 0.6928 Cs
0.3072 0.3072 0.9428 Cs
0.6928 0.6928 0.0572 Cs
0.9428 0.9428 0.3072 Cs
0.3750 0.3750 0.3750 Mn
0.6250 0.6250 0.6250 Mn
0.1250 0.1250 0.1250 Hg
0.8750 0.8750 0.8750 Hg
0.0161 0.6160 0.5522 Se
0.3157 0.5522 0.6160 Se
0.3840 0.9839 0.6843 Se
0.4478 0.6843 0.9839 Se
0.5522 0.3157 0.0161 Se
0.6160 0.0161 0.3157 Se
0.6843 0.4478 0.3840 Se
0.9839 0.3840 0.4478 Se
```

Peak list (10 most intense, 2θ = 10–90°, low angle first)
2theta	Rel. int.
14.23	73
23.56	66
24.78	63
25.67	42
29.46	100
30.82	29
35.62	51
43.67	33
46.64	26
47.61	33



Record 2
This entry pairs a crystal structure of Cs2HgMoP with its simulated powder diffraction line list. Radiation: Cu Kα, 1.54184 Å. Structure: a crystal structure in Alexandria, relaxed with GGA-PBE.
Peak positions follow from Bragg's law for the DFT cell and can differ from measured ones.

```
Cs2HgMoP
1.0
7.2755 0.0000 0.0000
0.0000 7.2755 0.0000
0.0000 0.0000 4.7750
Cs Hg Mo P
2 1 1 1
Direct
0.0000 0.5000 0.0000 Cs
0.5000 0.0000 0.0000 Cs
0.0000 0.0000 0.0000 Hg
0.5000 0.5000 0.5000 Mo
0.0000 0.0000 0.5000 P
```

Peak list (10 most intense, 2θ = 10–90°, low angle first)
2theta	Rel. int.
12.17	24
18.58	29
22.27	50
24.47	100
30.90	34
33.32	37
34.88	40
45.44	37
52.28	25
69.98	21



Record 3
This entry pairs a crystal structure of CsNa2Hg4 with its simulated powder diffraction line list. Radiation: Cu Kα, 1.54184 Å. Structure: a crystal structure in Alexandria, relaxed with GGA-PBE.
Peak positions follow from Bragg's law for the DFT cell and can differ from measured ones.

```
CsNa2Hg4
1.0
4.6648 0.0000 0.0000
0.0000 4.7974 0.0000
0.0000 0.0000 21.7557
Cs Na Hg
2 4 8
Direct
0.0000 0.0000 0.0000 Cs
0.5000 0.5000 0.5000 Cs
0.0000 0.5000 0.1898 Na
0.0000 0.5000 0.8102 Na
0.5000 0.0000 0.3102 Na
0.5000 0.0000 0.6898 Na
0.0000 0.0000 0.4186 Hg
0.0000 0.0000 0.5814 Hg
0.0000 0.5000 0.3318 Hg
0.0000 0.5000 0.6682 Hg
0.5000 0.0000 0.1682 Hg
0.5000 0.0000 0.8318 Hg
0.5000 0.5000 0.0814 Hg
0.5000 0.5000 0.9186 Hg
```

Peak list (10 most intense, 2θ = 10–90°, low angle first)
2theta	Rel. int.
19.46	54
22.66	54
27.68	60
27.91	100
34.38	42
36.55	73
37.49	33
38.60	30
48.16	27
52.64	25



Record 4
This entry pairs a crystal structure of Cs6Na15Hg8 with its simulated powder diffraction line list. Radiation: Cu Kα, 1.54184 Å. Structure: a crystal structure in Alexandria, relaxed with GGA-PBE.
Peak positions follow from Bragg's law for the DFT cell and can differ from measured ones.

```
Cs6Na15Hg8
1.0
0.0000 8.5698 8.5698
8.5698 0.0000 8.5698
8.5698 8.5698 0.0000
Cs Na Hg
6 15 8
Direct
0.2474 0.2474 0.7526 Cs
0.2474 0.7526 0.2474 Cs
0.2474 0.7526 0.7526 Cs
0.7526 0.2474 0.2474 Cs
0.7526 0.2474 0.7526 Cs
0.7526 0.7526 0.2474 Cs
0.0000 0.0000 0.5000 Na
0.0000 0.5000 0.0000 Na
0.0000 0.5000 0.5000 Na
0.1762 0.1762 0.1762 Na
0.1762 0.1762 0.4715 Na
0.1762 0.4715 0.1762 Na
0.4715 0.1762 0.1762 Na
0.5000 0.0000 0.0000 Na
0.5000 0.0000 0.5000 Na
0.5000 0.5000 0.0000 Na
0.5000 0.5000 0.5000 Na
0.5285 0.8238 0.8238 Na
0.8238 0.5285 0.8238 Na
0.8238 0.8238 0.5285 Na
0.8238 0.8238 0.8238 Na
0.0830 0.6390 0.6390 Hg
0.3610 0.3610 0.3610 Hg
0.3610 0.3610 0.9170 Hg
0.3610 0.9170 0.3610 Hg
0.6390 0.0830 0.6390 Hg
0.6390 0.6390 0.0830 Hg
0.6390 0.6390 0.6390 Hg
0.9170 0.3610 0.3610 Hg
```

Peak list (10 most intense, 2θ = 10–90°, low angle first)
2theta	Rel. int.
17.16	32
17.93	17
22.61	36
23.21	18
29.48	100
40.42	20
42.18	14
43.21	20
52.30	29
73.99	12



Record 5
This entry pairs a crystal structure of CsNaHg4 with its simulated powder diffraction line list. Radiation: Cu Kα, 1.54184 Å. Structure: a crystal structure in Alexandria, relaxed with GGA-PBE.
Peak positions follow from Bragg's law for the DFT cell and can differ from measured ones.

```
CsNaHg4
1.0
-5.9186 5.9186 6.5526
5.9186 -5.9186 6.5526
5.9186 5.9186 -6.5526
Cs Na Hg
4 4 16
Direct
0.1605 0.1605 0.0000 Cs
0.2500 0.7500 0.5000 Cs
0.7500 0.2500 0.5000 Cs
0.8395 0.8395 0.0000 Cs
0.3012 0.5000 0.8012 Na
0.5000 0.3012 0.8012 Na
0.5000 0.6988 0.1988 Na
0.6988 0.5000 0.1988 Na
0.1228 0.3085 0.4313 Hg
0.1228 0.6915 0.8143 Hg
0.1407 0.1407 0.6295 Hg
0.1407 0.5112 0.0000 Hg
0.3085 0.1228 0.4313 Hg
0.3085 0.8772 0.1857 Hg
0.4888 0.4888 0.6295 Hg
0.4888 0.8593 0.0000 Hg
0.5112 0.1407 0.0000 Hg
0.5112 0.5112 0.3705 Hg
0.6915 0.1228 0.8143 Hg
0.6915 0.8772 0.5687 Hg
0.8593 0.4888 0.0000 Hg
0.8593 0.8593 0.3705 Hg
0.8772 0.3085 0.1857 Hg
0.8772 0.6915 0.5687 Hg
```

Peak list (10 most intense, 2θ = 10–90°, low angle first)
2theta	Rel. int.
14.97	93
23.55	52
26.45	96
27.44	100
30.53	70
34.16	67
34.95	58
38.65	72
41.34	58
52.05	46



Record 6
This entry pairs a crystal structure of Cs3Na2Hg5 with its simulated powder diffraction line list. Radiation: Cu Kα, 1.54184 Å. Structure: a crystal structure in Alexandria, relaxed with GGA-PBE.
Peak positions follow from Bragg's law for the DFT cell and can differ from measured ones.

```
Cs3Na2Hg5
1.0
13.0822 0.0000 0.0000
0.0000 13.0822 0.0000
0.0000 0.0000 4.7656
Cs Na Hg
6 4 10
Direct
0.0000 0.0000 0.0000 Cs
0.1846 0.3154 0.0000 Cs
0.3154 0.8154 0.0000 Cs
0.5000 0.5000 0.0000 Cs
0.6846 0.1846 0.0000 Cs
0.8154 0.6846 0.0000 Cs
0.1089 0.6089 0.0000 Na
0.3911 0.1089 0.0000 Na
0.6089 0.8911 0.0000 Na
0.8911 0.3911 0.0000 Na
0.0000 0.5000 0.5000 Hg
0.0576 0.7673 0.5000 Hg
0.2327 0.0576 0.5000 Hg
0.2673 0.5576 0.5000 Hg
0.4424 0.2673 0.5000 Hg
0.5000 0.0000 0.5000 Hg
0.5576 0.7327 0.5000 Hg
0.7327 0.4424 0.5000 Hg
0.7673 0.9424 0.5000 Hg
0.9424 0.2327 0.5000 Hg
```

Peak list (10 most intense, 2θ = 10–90°, low angle first)
2theta	Rel. int.
18.62	35
24.09	73
26.86	80
27.27	43
28.12	87
28.57	100
30.56	44
30.98	51
37.75	42
47.73	41



Record 7
This entry pairs a crystal structure of CsNa6Hg4 with its simulated powder diffraction line list. Radiation: Cu Kα, 1.54184 Å. Structure: a crystal structure in Alexandria, relaxed with GGA-PBE.
Peak positions follow from Bragg's law for the DFT cell and can differ from measured ones.

```
CsNa6Hg4
1.0
9.0426 0.0000 0.0000
-4.5213 7.8311 0.0000
0.0000 0.0000 5.1233
Cs Na Hg
1 6 4
Direct
0.0000 0.0000 0.0000 Cs
0.2046 0.4093 0.5000 Na
0.2046 0.7954 0.5000 Na
0.5318 0.0636 0.0000 Na
0.5318 0.4682 0.0000 Na
0.5907 0.7954 0.5000 Na
0.9364 0.4682 0.0000 Na
0.3333 0.6667 0.0000 Hg
0.4233 0.2117 0.5000 Hg
0.7883 0.2117 0.5000 Hg
0.7883 0.5767 0.5000 Hg
```

Peak list (10 most intense, 2θ = 10–90°, low angle first)
2theta	Rel. int.
20.72	100
22.71	57
26.29	49
28.70	38
30.19	49
35.02	82
38.71	73
42.15	24
46.91	30
54.10	40



Record 8
This entry pairs a crystal structure of Cs3Na6Hg2 with its simulated powder diffraction line list. Radiation: Cu Kα, 1.54184 Å. Structure: a crystal structure in Alexandria, relaxed with GGA-PBE.
Peak positions follow from Bragg's law for the DFT cell and can differ from measured ones.

```
Cs3Na6Hg2
1.0
-2.5405 2.5405 21.0653
2.5405 -2.5405 21.0653
2.5405 2.5405 -21.0653
Cs Na Hg
3 6 2
Direct
0.0000 0.0000 0.0000 Cs
0.1714 0.1714 0.0000 Cs
0.8286 0.8286 0.0000 Cs
0.0877 0.5877 0.5000 Na
0.2714 0.2714 0.0000 Na
0.4123 0.9123 0.5000 Na
0.5877 0.0877 0.5000 Na
0.7286 0.7286 0.0000 Na
0.9123 0.4123 0.5000 Na
0.3624 0.3624 0.0000 Hg
0.6376 0.6376 0.0000 Hg
```

Peak list (10 most intense, 2θ = 10–90°, low angle first)
2theta	Rel. int.
12.61	56
18.57	26
20.41	69
24.78	69
27.89	75
29.20	100
35.33	44
40.50	19
41.14	22
46.47	56



Record 9
This entry pairs a crystal structure of Cs5Na5Hg with its simulated powder diffraction line list. Radiation: Cu Kα, 1.54184 Å. Structure: a crystal structure in Alexandria, relaxed with GGA-PBE.
Peak positions follow from Bragg's law for the DFT cell and can differ from measured ones.

```
Cs5Na5Hg
1.0
-3.5056 4.7104 10.9988
3.5056 -4.7104 10.9988
3.5056 4.7104 -10.9988
Cs Na Hg
5 5 1
Direct
0.0000 0.0000 0.0000 Cs
0.1513 0.6513 0.5000 Cs
0.2920 0.2920 0.0000 Cs
0.7080 0.7080 0.0000 Cs
0.8487 0.3487 0.5000 Cs
0.1934 0.8752 0.3182 Na
0.4430 0.1248 0.3182 Na
0.5000 0.5000 0.0000 Na
0.5570 0.8752 0.6818 Na
0.8066 0.1248 0.6818 Na
0.5000 0.0000 0.5000 Hg
```

Peak list (10 most intense, 2θ = 10–90°, low angle first)
2theta	Rel. int.
17.50	91
18.84	57
22.61	25
25.41	40
25.82	100
30.92	20
31.82	31
40.46	30
42.32	24
45.03	22



Record 10
This entry pairs a crystal structure of CsNa6Hg2 with its simulated powder diffraction line list. Radiation: Cu Kα, 1.54184 Å. Structure: a crystal structure in Alexandria, relaxed with GGA-PBE.
Peak positions follow from Bragg's law for the DFT cell and can differ from measured ones.

```
CsNa6Hg2
1.0
5.1557 0.0000 0.0000
0.0000 5.1557 0.0000
0.0000 0.0000 12.7410
Cs Na Hg
1 6 2
Direct
0.0000 0.0000 0.0000 Cs
0.0000 0.0000 0.5000 Na
0.0000 0.5000 0.2876 Na
0.0000 0.5000 0.7124 Na
0.5000 0.0000 0.2876 Na
0.5000 0.0000 0.7124 Na
0.5000 0.5000 0.5000 Na
0.5000 0.5000 0.1245 Hg
0.5000 0.5000 0.8755 Hg
```

Peak list (10 most intense, 2θ = 10–90°, low angle first)
2theta	Rel. int.
17.20	58
24.42	85
25.41	100
27.20	95
28.20	38
33.06	96
34.80	69
39.45	37
44.72	50
48.76	65



Record 11
This entry pairs a crystal structure of CsNa9Hg3 with its simulated powder diffraction line list. Radiation: Cu Kα, 1.54184 Å. Structure: a crystal structure in Alexandria, relaxed with GGA-PBE.
Peak positions follow from Bragg's law for the DFT cell and can differ from measured ones.

```
CsNa9Hg3
1.0
3.2307 -8.4273 0.0000
3.2307 8.4273 0.0000
-3.1460 0.0000 8.1507
Cs Na Hg
1 9 3
Direct
0.0000 0.0000 0.0000 Cs
0.0000 0.0000 0.5000 Na
0.0084 0.6467 0.6603 Na
0.2879 0.5201 0.7796 Na
0.3533 0.9916 0.3397 Na
0.4799 0.7121 0.2204 Na
0.5201 0.2879 0.7796 Na
0.6467 0.0084 0.6603 Na
0.7121 0.4799 0.2204 Na
0.9916 0.3533 0.3397 Na
0.0000 0.5000 0.0000 Hg
0.5000 0.0000 0.0000 Hg
0.5000 0.5000 0.5000 Hg
```

Peak list (10 most intense, 2θ = 10–90°, low angle first)
2theta	Rel. int.
10.85	36
15.12	100
15.70	37
21.08	47
21.84	59
30.52	68
31.52	55
31.73	53
34.68	23
35.00	24



Record 12
This entry pairs a crystal structure of CsNaHg with its simulated powder diffraction line list. Radiation: Cu Kα, 1.54184 Å. Structure: a crystal structure in Alexandria, relaxed with GGA-PBE.
Peak positions follow from Bragg's law for the DFT cell and can differ from measured ones.

```
CsNaHg
1.0
8.0064 0.0000 0.0000
0.0000 7.2916 0.0000
-3.7594 0.0000 9.3734
Cs Na Hg
4 4 4
Direct
0.1727 0.1129 0.3689 Cs
0.1727 0.3871 0.8689 Cs
0.8273 0.6129 0.1311 Cs
0.8273 0.8871 0.6311 Cs
0.4210 0.6073 0.3072 Na
0.4210 0.8927 0.8072 Na
0.5790 0.1073 0.1928 Na
0.5790 0.3927 0.6928 Na
0.1983 0.6189 0.5276 Hg
0.1983 0.8811 0.0276 Hg
0.8017 0.1189 0.9724 Hg
0.8017 0.3811 0.4724 Hg
```

Peak list (10 most intense, 2θ = 10–90°, low angle first)
2theta	Rel. int.
11.91	31
15.40	23
18.94	27
23.95	30
24.41	26
27.35	100
28.77	27
29.25	36
30.37	44
39.05	32